U7Mo: calculated powder diffraction line list (copper Kα), based on a PBE-relaxed structure.
Lines closer than 0.1° are merged.

Top 10 peaks for 5 to 70 degrees two-theta, by intensity:
38.94°, 2.313 Å, intensity 100, hkl 1 1 2; 34.86°, 2.574 Å, intensity 34, hkl 0 2 0; 34.98°, 2.565 Å, intensity 33, hkl 0 0 4; 50.22°, 1.817 Å, intensity 24, hkl 0 2 4; 65.24°, 1.430 Å, intensity 23, hkl 1 3 2; 65.39°, 1.427 Å, intensity 22, hkl 1 1 6; 61.89°, 1.499 Å, intensity 7, hkl 2 0 0; 19.29°, 4.601 Å, intensity 2, hkl 0 1 1; 8.62°, 10.261 Å, intensity 2, hkl 0 0 1; 17.25°, 5.139 Å, intensity 2, hkl 0 1 0

Atomic structure:
```
U7Mo
1.0
2.999 0.000 0.000
0.000 5.147 0.000
0.000 0.000 10.261
U Mo
7 1
Cartesian
0.000 0.000 0.000
0.000 0.000 5.130
0.000 2.574 2.547
0.000 2.574 7.713
1.499 0.000 2.438
1.499 0.000 7.822
1.499 2.574 5.130
1.499 2.574 0.000
```